(1)
The following is a theoretical powder XRD pattern of La3Re2C10. It was derived from a DFT-relaxed cell (GGA-PBE, OQMD), using copper Kα.
Kinematic intensities with the Lorentz-polarization factor, no thermal factor.

Structural model:
```
La3Re2C10
1.0
3.935 -4.696 0.000
3.935 4.696 0.000
-3.566 0.000 5.748
La Re C
3 2 10
Cartesian
0.000 0.000 0.000
2.152 2.854 2.874
2.152 -2.854 2.874
3.191 0.000 1.135
1.113 0.000 4.614
0.187 0.000 2.592
0.662 2.120 5.152
-1.042 0.000 5.085
3.642 2.120 0.596
1.457 0.000 2.189
2.847 0.000 3.559
0.662 -2.120 5.152
5.346 0.000 0.663
3.642 -2.120 0.596
4.117 0.000 3.156
```

The 8 most intense peaks (2θ = 10–80°), in order of falling intensity:
| Position (°2θ) | Rel. int. |
| --- | --- |
| 26.7 | 100 |
| 24.5 | 70 |
| 28.2 | 64 |
| 31.6 | 45 |
| 37.0 | 43 |
| 29.7 | 42 |
| 18.9 | 38 |
| 38.4 | 36 |

***

(2)
The following is a theoretical powder XRD pattern of LaTmW2C3. It was derived from a DFT-relaxed cell (GGA-PBE, OQMD), using copper Kα.
Kinematic intensities with the Lorentz-polarization factor, no thermal factor.

Structural model:
```
LaTmW2C3
1.0
6.050 -1.684 0.000
6.050 1.684 0.000
-2.397 0.000 5.327
La Tm W C
1 1 2 3
Cartesian
0.000 0.000 0.000
8.598 0.000 1.955
0.811 0.000 4.664
5.478 0.000 2.781
0.688 0.000 2.488
4.247 0.000 1.141
5.651 0.000 4.935
```

The 8 most intense peaks (2θ = 10–80°), in order of falling intensity:
| Position (°2θ) | Rel. int. |
| --- | --- |
| 34.2 | 100 |
| 35.4 | 77 |
| 30.7 | 54 |
| 54.5 | 43 |
| 32.5 | 39 |
| 33.6 | 27 |
| 29.7 | 24 |
| 36.0 | 24 |

***

(3)
The following is a theoretical powder XRD pattern of LiNi3C. It was derived from a DFT-relaxed cell (GGA-PBE, OQMD), using copper Kα.
Kinematic intensities with the Lorentz-polarization factor, no thermal factor.

Structural model:
```
LiNi3C
1.0
2.431 -4.315 0.000
2.431 4.315 0.000
0.000 0.000 4.872
Li Ni C
2 6 2
Cartesian
2.431 3.969 2.436
2.431 -3.969 0.000
1.236 1.822 3.135
2.431 0.360 1.392
1.236 -1.822 0.699
3.627 1.822 3.135
2.431 -0.360 3.828
3.627 -1.822 0.699
2.431 1.373 4.620
2.431 -1.373 2.184
```

The 8 most intense peaks (2θ = 10–80°), in order of falling intensity:
| Position (°2θ) | Rel. int. |
| --- | --- |
| 42.7 | 100 |
| 21.0 | 59 |
| 46.0 | 38 |
| 53.2 | 27 |
| 36.9 | 27 |
| 20.6 | 25 |
| 46.8 | 24 |
| 57.7 | 22 |

***

(4)
The following is a theoretical powder XRD pattern of LiSm2OsC6. It was derived from a DFT-relaxed cell (GGA-PBE, OQMD), using copper Kα.
Kinematic intensities with the Lorentz-polarization factor, no thermal factor.

Structural model:
```
LiSm2OsC6
1.0
7.218 0.000 0.000
0.000 8.751 0.000
0.000 0.000 4.472
Li Sm Os C
2 4 2 12
Cartesian
0.000 0.000 0.000
3.609 4.375 2.236
1.191 2.097 2.236
2.417 6.473 0.000
4.800 2.278 0.000
6.026 6.653 2.236
0.000 4.375 0.000
3.609 0.000 2.236
0.032 2.353 0.000
1.382 4.588 1.595
1.382 4.588 2.876
2.227 0.213 0.640
2.227 0.213 3.831
3.577 6.728 2.236
3.641 2.023 2.236
4.991 8.538 0.640
4.991 8.538 3.831
5.836 4.163 1.595
5.836 4.163 2.876
7.186 6.398 0.000
```

The 8 most intense peaks (2θ = 10–80°), in order of falling intensity:
| Position (°2θ) | Rel. int. |
| --- | --- |
| 25.5 | 100 |
| 31.2 | 91 |
| 15.9 | 87 |
| 42.7 | 57 |
| 26.7 | 47 |
| 60.9 | 37 |
| 38.9 | 36 |
| 32.2 | 35 |

***

(5)
The following is a theoretical powder XRD pattern of Lu2Mo4P3C3. It was derived from a DFT-relaxed cell (GGA-PBE, OQMD), using copper Kα.
Kinematic intensities with the Lorentz-polarization factor, no thermal factor.

Structural model:
```
Lu2Mo4P3C3
1.0
4.913 -2.863 0.000
4.913 2.863 0.000
-3.134 0.000 11.929
Lu Mo P C
4 8 6 6
Cartesian
2.546 2.398 7.320
2.579 2.398 10.573
4.113 -2.398 1.356
4.146 -2.398 4.609
2.433 0.425 1.054
2.555 0.530 4.900
0.866 -0.425 7.019
0.988 -0.530 10.864
5.704 0.530 1.065
5.826 0.425 4.910
4.137 -0.530 7.029
4.258 -0.425 10.875
-0.531 0.615 8.907
1.036 -0.615 2.943
2.562 0.271 8.947
4.129 -0.271 2.982
5.656 0.615 8.986
7.223 -0.615 3.021
0.889 1.431 5.964
0.929 1.393 11.919
4.196 1.393 5.974
2.457 -1.431 0.000
2.496 -1.393 5.955
5.763 -1.393 0.010
```

The 8 most intense peaks (2θ = 10–80°), in order of falling intensity:
| Position (°2θ) | Rel. int. |
| --- | --- |
| 38.8 | 100 |
| 39.1 | 48 |
| 31.5 | 29 |
| 55.7 | 27 |
| 30.0 | 23 |
| 32.5 | 19 |
| 56.2 | 17 |
| 32.2 | 16 |

***

(6)
The following is a theoretical powder XRD pattern of Lu2Tl3Mo4C3. It was derived from a DFT-relaxed cell (GGA-PBE, OQMD), using copper Kα.
Kinematic intensities with the Lorentz-polarization factor, no thermal factor.

Structural model:
```
Lu2Tl3Mo4C3
1.0
4.943 -2.873 0.000
4.943 2.873 0.000
-3.396 0.000 14.184
Lu Tl Mo C
4 6 8 6
Cartesian
2.477 2.419 8.498
2.315 2.419 12.778
4.175 -2.419 1.406
4.013 -2.419 5.686
-0.627 0.639 10.683
1.071 -0.639 3.591
2.396 0.173 10.638
4.094 -0.173 3.546
5.419 0.639 10.593
7.117 -0.639 3.501
2.439 0.444 0.974
2.410 0.521 6.113
0.741 -0.444 8.066
0.712 -0.521 13.205
5.778 0.521 0.979
5.749 0.444 6.118
4.080 -0.521 8.071
4.051 -0.444 13.210
0.773 1.437 7.092
4.096 1.398 0.007
4.092 1.398 7.085
2.471 -1.437 0.000
2.398 -1.398 7.099
2.394 -1.398 14.177
```

The 8 most intense peaks (2θ = 10–80°), in order of falling intensity:
| Position (°2θ) | Rel. int. |
| --- | --- |
| 36.6 | 100 |
| 36.8 | 45 |
| 38.1 | 26 |
| 31.3 | 22 |
| 55.5 | 18 |
| 49.9 | 13 |
| 31.1 | 12 |
| 12.5 | 9 |